Diffraction record for Th3TaRh12. The powder diffraction line list is computed, not measured: it uses a structure optimized by DFT (PBE) and Cu Kα, 1.54184 Å.
Kinematic intensities with the Lorentz-polarization factor, no thermal factor.

```
data_Th3TaRh12
_cell_length_a 4.0680
_cell_length_b 4.0680
_cell_length_c 16.3605
_cell_angle_alpha 90.00
_cell_angle_beta 90.00
_cell_angle_gamma 90.00
_space_group_name_H-M_alt 'P 1'
_space_group_IT_number 1
loop_
_space_group_symop_operation_xyz
'x,y,z'
loop_
_atom_site_label
_atom_site_fract_x
_atom_site_fract_y
_atom_site_fract_z
Th1 0.0000 0.0000 0.0000
Th2 0.0000 0.0000 0.2558
Th3 0.0000 0.0000 0.7442
Ta1 0.0000 0.0000 0.5000
Rh1 0.0000 0.5000 0.1286
Rh2 0.0000 0.5000 0.3888
Rh3 0.0000 0.5000 0.6112
Rh4 0.0000 0.5000 0.8714
Rh5 0.5000 0.0000 0.1286
Rh6 0.5000 0.0000 0.3888
Rh7 0.5000 0.0000 0.6112
Rh8 0.5000 0.0000 0.8714
Rh9 0.5000 0.5000 0.0000
Rh10 0.5000 0.5000 0.2589
Rh11 0.5000 0.5000 0.5000
Rh12 0.5000 0.5000 0.7411
```

The 10 most intense peaks (5° ≤ 2θ ≤ 70°), by angle:
d (Å)  Position (°2θ)  Rel. int.
4.090  21.7  4
4.068  21.8  8
2.882  31.0  11
2.353  38.3  100
2.045  44.3  15
2.034  44.5  34
1.820  50.1  4
1.662  55.3  3
1.442  64.6  19
1.438  64.8  11


Diffraction record for Na3Pm2TeSe6. The powder diffraction line list is computed, not measured: it uses a structure optimized by DFT (PBE) and Cu Kα, 1.54184 Å.
Kinematic intensities with the Lorentz-polarization factor, no thermal factor.

```
data_Na3Pm2TeSe6
_cell_length_a 7.4088
_cell_length_b 7.4088
_cell_length_c 7.4021
_cell_angle_alpha 99.18
_cell_angle_beta 99.18
_cell_angle_gamma 120.72
_space_group_name_H-M_alt 'P 1'
_space_group_IT_number 1
loop_
_space_group_symop_operation_xyz
'x,y,z'
loop_
_atom_site_label
_atom_site_fract_x
_atom_site_fract_y
_atom_site_fract_z
Na1 0.0000 0.0000 0.0000
Na2 0.3389 0.6611 0.0000
Na3 0.6611 0.3389 0.0000
Pm1 0.1702 0.8298 0.5000
Pm2 0.8298 0.1702 0.5000
Te1 0.5000 0.5000 0.5000
Se1 0.0799 0.4174 0.2576
Se2 0.2517 0.2517 0.7233
Se3 0.4174 0.0799 0.2576
Se4 0.5826 0.9201 0.7423
Se5 0.7483 0.7483 0.2767
Se6 0.9201 0.5826 0.7423
```

The 10 most intense peaks (5° ≤ 2θ ≤ 70°), by angle:
d (Å)  Position (°2θ)  Rel. int.
7.006  12.6  58
3.650  24.4  21
3.033  29.4  100
2.995  29.8  47
2.145  42.1  37
2.139  42.3  35
2.123  42.6  36
1.745  52.4  19
1.517  61.1  12
1.357  69.2  16


Diffraction record for Ac5Ga2Au. The powder diffraction line list is computed, not measured: it uses a structure optimized by DFT (PBE) and Cu Kα, 1.54184 Å.
Kinematic intensities with the Lorentz-polarization factor, no thermal factor.

```
data_Ac5Ga2Au
_cell_length_a 10.1371
_cell_length_b 10.1371
_cell_length_c 10.1371
_cell_angle_alpha 133.19
_cell_angle_beta 133.19
_cell_angle_gamma 68.36
_space_group_name_H-M_alt 'P 1'
_space_group_IT_number 1
loop_
_space_group_symop_operation_xyz
'x,y,z'
loop_
_atom_site_label
_atom_site_fract_x
_atom_site_fract_y
_atom_site_fract_z
Ac1 0.0000 0.0000 0.0000
Ac2 0.0279 0.5279 0.8513
Ac3 0.1766 0.0279 0.5000
Ac4 0.3234 0.8234 0.8513
Ac5 0.4721 0.3234 0.5000
Ac6 0.5000 0.5000 0.0000
Ac7 0.5279 0.6766 0.5000
Ac8 0.6766 0.1766 0.1487
Ac9 0.8234 0.9721 0.5000
Ac10 0.9721 0.4721 0.1487
Ga1 0.1130 0.3870 0.5000
Ga2 0.3870 0.8870 0.2739
Ga3 0.6130 0.1130 0.7261
Ga4 0.8870 0.6130 0.5000
Au1 0.2500 0.2500 0.0000
Au2 0.7500 0.7500 0.0000
```

The 10 most intense peaks (5° ≤ 2θ ≤ 70°), by angle:
d (Å)  Position (°2θ)  Rel. int.
3.522  25.3  25
3.377  26.4  32
3.028  29.5  100
2.904  30.8  73
2.848  31.4  24
2.547  35.2  50
1.995  45.5  21
1.844  49.4  24
1.729  52.9  26
1.514  61.2  17


What did the first record say?
Diffraction record for Th3TaRh12. The powder diffraction line list is computed, not measured: it uses a structure optimized by DFT (PBE) and Cu Kα, 1.54184 Å.
Kinematic intensities with the Lorentz-polarization factor, no thermal factor.

```
data_Th3TaRh12
_cell_length_a 4.0680
_cell_length_b 4.0680
_cell_length_c 16.3605
_cell_angle_alpha 90.00
_cell_angle_beta 90.00
_cell_angle_gamma 90.00
_space_group_name_H-M_alt 'P 1'
_space_group_IT_number 1
loop_
_space_group_symop_operation_xyz
'x,y,z'
loop_
_atom_site_label
_atom_site_fract_x
_atom_site_fract_y
_atom_site_fract_z
Th1 0.0000 0.0000 0.0000
Th2 0.0000 0.0000 0.2558
Th3 0.0000 0.0000 0.7442
Ta1 0.0000 0.0000 0.5000
Rh1 0.0000 0.5000 0.1286
Rh2 0.0000 0.5000 0.3888
Rh3 0.0000 0.5000 0.6112
Rh4 0.0000 0.5000 0.8714
Rh5 0.5000 0.0000 0.1286
Rh6 0.5000 0.0000 0.3888
Rh7 0.5000 0.0000 0.6112
Rh8 0.5000 0.0000 0.8714
Rh9 0.5000 0.5000 0.0000
Rh10 0.5000 0.5000 0.2589
Rh11 0.5000 0.5000 0.5000
Rh12 0.5000 0.5000 0.7411
```

The 10 most intense peaks (5° ≤ 2θ ≤ 70°), by angle:
d (Å)  Position (°2θ)  Rel. int.
4.090  21.7  4
4.068  21.8  8
2.882  31.0  11
2.353  38.3  100
2.045  44.3  15
2.034  44.5  34
1.820  50.1  4
1.662  55.3  3
1.442  64.6  19
1.438  64.8  11